Diffraction record for Cs2NaV2F7. The powder diffractogram is computed, not measured: it uses the PBE+U geometry in Alexandria and Cu Ka.
Lines closer than 0.1° are merged.

Main lines, in order of falling intensity (2θ = 10–90°):
2θ 28.4, I = 100.0
2θ 29.6, I = 71.5
2θ 23.8, I = 69.1
2θ 42.4, I = 52.7
2θ 37.8, I = 30.4
2θ 51.8, I = 27.5
2θ 30.8, I = 22.9
2θ 30.6, I = 21.7
2θ 49.2, I = 19.7
2θ 43.2, I = 17.5
2θ 61.5, I = 15.8
2θ 15.2, I = 13.3

Structural model:
```
data_Cs2NaV2F7
_chemical_formula_sum 'Cs4 Na2 V4 F14'
_space_group_name_H-M_alt 'C 1 2/m 1'
_space_group_IT_number 12
_cell_length_a 6.026
_cell_length_b 6.029
_cell_length_c 12.003
_cell_angle_alpha 90.00
_cell_angle_beta 104.38
_cell_angle_gamma 90.00
loop_
_space_group_symop_operation_xyz
'x,y,z'
'-x,-y,-z'
'-x,y,-z'
'x,-y,z'
'x+1/2,y+1/2,z'
'-x+1/2,-y+1/2,-z'
'-x+1/2,y+1/2,-z'
'x+1/2,-y+1/2,z'
loop_
_atom_site_label
_atom_site_fract_x
_atom_site_fract_y
_atom_site_fract_z
Cs1 0.181 0.000 0.366
Na1 0.000 0.000 0.000
V1 0.088 0.500 0.178
F1 0.000 0.500 0.000
F2 0.167 0.250 0.831
F3 0.179 0.500 0.362
```